Diffraction record for Tb4Y8Ho. The X-ray diffraction stick pattern is theoretical, not measured: it uses a cell relaxed with GGA-PBE and Cu Kα.

Cell and atoms:
```
data_Tb4Y8Ho
_chemical_formula_sum 'Tb12 Y24 Ho3'
_cell_length_a 7.3001
_cell_length_b 7.3001
_cell_length_c 27.5311
_cell_angle_alpha 90.00
_cell_angle_beta 90.00
_cell_angle_gamma 120.00
_symmetry_space_group_name_H-M 'R -3 m'
_symmetry_Int_Tables_number 166
_symmetry_space_group_name_Hall '-R 3 2"'
loop_
_atom_site_label
_atom_site_type_symbol
_atom_site_fract_x
_atom_site_fract_y
_atom_site_fract_z
Tb1 Tb 0.0000 0.0000 0.0000
Tb2 Tb 0.0000 0.5000 0.0000
Y1 Y 0.0000 0.0000 0.2150
Y2 Y 0.0334 0.5167 0.7670
Ho1 Ho 0.0000 0.0000 0.5000
```

Most intense lines, 2θ from 10° to 80°, sorted by position:
d = 3.140 Å, 28.42°, intensity 21; d = 3.059 Å, 29.19°, intensity 24; d = 2.873 Å, 31.13°, intensity 100; d = 2.741 Å, 32.67°, intensity 37; d = 2.328 Å, 38.68°, intensity 35; d = 1.825 Å, 49.97°, intensity 29; d = 1.759 Å, 51.97°, intensity 13; d = 1.567 Å, 58.93°, intensity 17; d = 1.540 Å, 60.06°, intensity 14; d = 1.519 Å, 61.00°, intensity 9



Diffraction record for Tb3Y4Ho3. The X-ray diffraction stick pattern is theoretical, not measured: it uses a cell relaxed with GGA-PBE and Cu Kα.

Cell and atoms:
```
data_Tb3Y4Ho3
_chemical_formula_sum 'Tb6 Y8 Ho6'
_cell_length_a 3.6903
_cell_length_b 13.2202
_cell_length_c 13.2326
_cell_angle_alpha 90.00
_cell_angle_beta 90.00
_cell_angle_gamma 90.00
_symmetry_space_group_name_H-M 'A m m 2'
_symmetry_Int_Tables_number 38
loop_
_symmetry_equiv_pos_as_xyz
'x,y,z'
'-x,-y,z'
'-x,y,z'
'x,-y,z'
'x,y+1/2,z+1/2'
'-x,-y+1/2,z+1/2'
'-x,y+1/2,z+1/2'
'x,-y+1/2,z+1/2'
loop_
_atom_site_label
_atom_site_type_symbol
_atom_site_fract_x
_atom_site_fract_y
_atom_site_fract_z
Tb1 Tb 0.0000 0.0000 0.0000
Tb2 Tb 0.0000 0.1726 0.6722
Y1 Y 0.5000 0.0000 0.5457
Y2 Y 0.5000 0.0000 0.7988
Y3 Y 0.5000 0.1262 0.1729
Ho1 Ho 0.0000 0.0000 0.3450
Ho2 Ho 0.5000 0.2489 0.4220
```

Most intense lines, 2θ from 10° to 80°, sorted by position:
d = 3.307 Å, 26.96°, intensity 21; d = 2.958 Å, 30.22°, intensity 74; d = 2.897 Å, 30.87°, intensity 49; d = 2.767 Å, 32.35°, intensity 100; d = 2.268 Å, 39.74°, intensity 14; d = 1.932 Å, 47.02°, intensity 19; d = 1.892 Å, 48.08°, intensity 19; d = 1.642 Å, 55.99°, intensity 19; d = 1.571 Å, 58.76°, intensity 15; d = 1.565 Å, 59.00°, intensity 22



Diffraction record for Tb4Y2Ho7. The X-ray diffraction stick pattern is theoretical, not measured: it uses a cell relaxed with GGA-PBE and Cu Kα.

Cell and atoms:
```
data_Tb4Y2Ho7
_chemical_formula_sum 'Tb4 Y2 Ho7'
_cell_length_a 6.7293
_cell_length_b 8.5617
_cell_length_c 8.8044
_cell_angle_alpha 116.77
_cell_angle_beta 101.04
_cell_angle_gamma 103.72
_symmetry_space_group_name_H-M 'P -1'
_symmetry_Int_Tables_number 2
loop_
_symmetry_equiv_pos_as_xyz
'x,y,z'
'-x,-y,-z'
loop_
_atom_site_label
_atom_site_type_symbol
_atom_site_fract_x
_atom_site_fract_y
_atom_site_fract_z
Tb1 Tb 0.0778 0.1514 0.2232
Tb2 Tb 0.3275 0.3282 0.9941
Y1 Y 0.1995 0.7297 0.1304
Ho1 Ho 0.1483 0.4624 0.6799
Ho2 Ho 0.2595 0.0119 0.5699
Ho3 Ho 0.4134 0.6434 0.4623
Ho4 Ho 0.5000 0.0000 0.0000
```

Most intense lines, 2θ from 10° to 80°, sorted by position:
d = 2.952 Å, 30.28°, intensity 64; d = 2.846 Å, 31.43°, intensity 71; d = 2.823 Å, 31.70°, intensity 24; d = 2.809 Å, 31.86°, intensity 100; d = 2.795 Å, 32.02°, intensity 99; d = 2.770 Å, 32.32°, intensity 66; d = 2.745 Å, 32.62°, intensity 95; d = 2.699 Å, 33.20°, intensity 27; d = 2.631 Å, 34.08°, intensity 25; d = 1.923 Å, 47.27°, intensity 25



Diffraction record for Tb12YHo5. The X-ray diffraction stick pattern is theoretical, not measured: it uses a cell relaxed with GGA-PBE and Cu Kα.

Cell and atoms:
```
data_Tb12YHo5
_chemical_formula_sum 'Tb12 Y1 Ho5'
_cell_length_a 10.6465
_cell_length_b 5.0236
_cell_length_c 10.6595
_cell_angle_alpha 90.00
_cell_angle_beta 90.15
_cell_angle_gamma 90.00
_symmetry_space_group_name_H-M 'P 1 2/m 1'
_symmetry_Int_Tables_number 10
loop_
_symmetry_equiv_pos_as_xyz
'x,y,z'
'-x,-y,-z'
'-x,y,-z'
'x,-y,z'
loop_
_atom_site_label
_atom_site_type_symbol
_atom_site_fract_x
_atom_site_fract_y
_atom_site_fract_z
Tb1 Tb 0.0003 0.0000 0.1664
Tb2 Tb 0.1672 0.5000 0.0005
Tb3 Tb 0.1670 0.5000 0.6670
Tb4 Tb 0.3336 0.0000 0.4997
Tb5 Tb 0.3339 0.0000 0.8338
Tb6 Tb 0.4995 0.5000 0.3328
Y1 Y 0.0000 0.0000 0.5000
Ho1 Ho 0.1671 0.5000 0.3329
Ho2 Ho 0.3332 0.0000 0.1668
Ho3 Ho 0.5000 0.5000 0.0000
```

Most intense lines, 2θ from 10° to 80°, sorted by position:
d = 2.900 Å, 30.84°, intensity 100; d = 2.511 Å, 35.76°, intensity 51; d = 1.776 Å, 51.46°, intensity 36; d = 1.515 Å, 61.17°, intensity 29; d = 1.513 Å, 61.27°, intensity 14; d = 1.450 Å, 64.24°, intensity 12; d = 1.256 Å, 75.69°, intensity 4; d = 1.254 Å, 75.88°, intensity 2



Diffraction record for Tb2Y6Ho5. The X-ray diffraction stick pattern is theoretical, not measured: it uses a cell relaxed with GGA-PBE and Cu Kα.

Cell and atoms:
```
data_Tb2Y6Ho5
_chemical_formula_sum 'Tb4 Y12 Ho10'
_cell_length_a 11.6515
_cell_length_b 20.1981
_cell_length_c 3.5730
_cell_angle_alpha 90.00
_cell_angle_beta 90.00
_cell_angle_gamma 90.00
_symmetry_space_group_name_H-M 'P b a m'
_symmetry_Int_Tables_number 55
loop_
_symmetry_equiv_pos_as_xyz
'x,y,z'
'-x,-y,-z'
'-x,-y,z'
'x,y,-z'
'x+1/2,-y+1/2,-z'
'-x+1/2,y+1/2,z'
'-x+1/2,y+1/2,-z'
'x+1/2,-y+1/2,z'
loop_
_atom_site_label
_atom_site_type_symbol
_atom_site_fract_x
_atom_site_fract_y
_atom_site_fract_z
Tb1 Tb 0.1664 0.2102 0.0000
Y1 Y 0.0572 0.9190 0.0000
Y2 Y 0.0844 0.6309 0.0000
Y3 Y 0.1739 0.3659 0.5000
Ho1 Ho 0.0000 0.5000 0.5000
Ho2 Ho 0.0903 0.7730 0.5000
Ho3 Ho 0.1991 0.0493 0.5000
```

Most intense lines, 2θ from 10° to 80°, sorted by position:
d = 2.916 Å, 30.66°, intensity 33; d = 2.883 Å, 31.02°, intensity 54; d = 2.829 Å, 31.62°, intensity 62; d = 2.800 Å, 31.96°, intensity 100; d = 2.775 Å, 32.26°, intensity 96; d = 2.608 Å, 34.39°, intensity 35; d = 2.449 Å, 36.69°, intensity 35; d = 1.683 Å, 54.53°, intensity 32; d = 1.617 Å, 56.95°, intensity 33; d = 1.506 Å, 61.59°, intensity 36



Diffraction record for Tb6YHo3. The X-ray diffraction stick pattern is theoretical, not measured: it uses a cell relaxed with GGA-PBE and Cu Kα.

Cell and atoms:
```
data_Tb6YHo3
_chemical_formula_sum 'Tb24 Y4 Ho12'
_cell_length_a 9.6193
_cell_length_b 21.0108
_cell_length_c 6.3650
_cell_angle_alpha 90.00
_cell_angle_beta 90.00
_cell_angle_gamma 90.00
_symmetry_space_group_name_H-M 'C m c 21'
_symmetry_Int_Tables_number 36
loop_
_symmetry_equiv_pos_as_xyz
'x,y,z'
'-x,-y,z+1/2'
'-x,y,z'
'x,-y,z+1/2'
'x+1/2,y+1/2,z'
'-x+1/2,-y+1/2,z+1/2'
'-x+1/2,y+1/2,z'
'x+1/2,-y+1/2,z+1/2'
loop_
_atom_site_label
_atom_site_type_symbol
_atom_site_fract_x
_atom_site_fract_y
_atom_site_fract_z
Tb1 Tb 0.0000 0.0147 0.0000
Tb2 Tb 0.0000 0.3018 0.0233
Tb3 Tb 0.1755 0.2809 0.4868
Tb4 Tb 0.1811 0.4399 0.2444
Y1 Y 0.0000 0.1602 0.8009
Ho1 Ho 0.0000 0.4199 0.7210
Ho2 Ho 0.1691 0.1267 0.3255
```

Most intense lines, 2θ from 10° to 80°, sorted by position:
d = 3.099 Å, 28.81°, intensity 64; d = 3.068 Å, 29.11°, intensity 43; d = 3.046 Å, 29.32°, intensity 28; d = 2.865 Å, 31.22°, intensity 59; d = 2.837 Å, 31.54°, intensity 100; d = 2.774 Å, 32.27°, intensity 53; d = 2.722 Å, 32.91°, intensity 40; d = 2.651 Å, 33.81°, intensity 68; d = 2.587 Å, 34.68°, intensity 27; d = 1.603 Å, 57.49°, intensity 30



Diffraction record for TbY7Ho4. The X-ray diffraction stick pattern is theoretical, not measured: it uses a cell relaxed with GGA-PBE and Cu Kα.

Cell and atoms:
```
data_TbY7Ho4
_chemical_formula_sum 'Tb1 Y7 Ho4'
_cell_length_a 6.5055
_cell_length_b 6.7917
_cell_length_c 9.0746
_cell_angle_alpha 86.19
_cell_angle_beta 76.62
_cell_angle_gamma 82.09
_symmetry_space_group_name_H-M 'P -1'
_symmetry_Int_Tables_number 2
loop_
_symmetry_equiv_pos_as_xyz
'x,y,z'
'-x,-y,-z'
loop_
_atom_site_label
_atom_site_type_symbol
_atom_site_fract_x
_atom_site_fract_y
_atom_site_fract_z
Tb1 Tb 0.0000 0.0000 0.0000
Y1 Y 0.0000 0.5000 0.0000
Y2 Y 0.1902 0.1084 0.3874
Y3 Y 0.3170 0.6950 0.6386
Y4 Y 0.4857 0.2499 0.0506
Ho1 Ho 0.1607 0.6185 0.3084
Ho2 Ho 0.3591 0.1884 0.7161
```

Most intense lines, 2θ from 10° to 80°, sorted by position:
d = 2.941 Å, 30.39°, intensity 35; d = 2.882 Å, 31.03°, intensity 38; d = 2.822 Å, 31.71°, intensity 100; d = 2.767 Å, 32.35°, intensity 51; d = 2.750 Å, 32.56°, intensity 33; d = 2.731 Å, 32.79°, intensity 13; d = 2.111 Å, 42.83°, intensity 11; d = 1.935 Å, 46.96°, intensity 12; d = 1.640 Å, 56.08°, intensity 12; d = 1.609 Å, 57.25°, intensity 17



Diffraction record for Tb7Y2Ho4. The X-ray diffraction stick pattern is theoretical, not measured: it uses a cell relaxed with GGA-PBE and Cu Kα.

Cell and atoms:
```
data_Tb7Y2Ho4
_chemical_formula_sum 'Tb7 Y2 Ho4'
_cell_length_a 6.0793
_cell_length_b 6.0793
_cell_length_c 13.1721
_cell_angle_alpha 90.00
_cell_angle_beta 90.00
_cell_angle_gamma 120.00
_symmetry_space_group_name_H-M 'P -3 1 m'
_symmetry_Int_Tables_number 162
_symmetry_space_group_name_Hall '-P 3 2'
loop_
_atom_site_label
_atom_site_type_symbol
_atom_site_fract_x
_atom_site_fract_y
_atom_site_fract_z
Tb1 Tb 0.0000 0.0000 0.0000
Tb2 Tb 0.0000 0.3599 0.2184
Y1 Y 0.3333 0.6667 0.0000
Ho1 Ho 0.0000 0.0000 0.3934
Ho2 Ho 0.3333 0.6667 0.5000
```

Most intense lines, 2θ from 10° to 80°, sorted by position:
d = 3.372 Å, 26.43°, intensity 20; d = 3.293 Å, 27.08°, intensity 20; d = 2.962 Å, 30.17°, intensity 60; d = 2.792 Å, 32.06°, intensity 14; d = 2.760 Å, 32.44°, intensity 100; d = 2.634 Å, 34.04°, intensity 18; d = 2.499 Å, 35.93°, intensity 32; d = 1.780 Å, 51.34°, intensity 18; d = 1.755 Å, 52.12°, intensity 31; d = 1.481 Å, 62.74°, intensity 14



Diffraction record for Tb2Y3Ho8. The X-ray diffraction stick pattern is theoretical, not measured: it uses a cell relaxed with GGA-PBE and Cu Kα.

Cell and atoms:
```
data_Tb2Y3Ho8
_chemical_formula_sum 'Tb4 Y6 Ho16'
_cell_length_a 20.3278
_cell_length_b 7.5754
_cell_length_c 5.5787
_cell_angle_alpha 90.00
_cell_angle_beta 90.02
_cell_angle_gamma 90.00
_symmetry_space_group_name_H-M 'C 1 2/m 1'
_symmetry_Int_Tables_number 12
loop_
_symmetry_equiv_pos_as_xyz
'x,y,z'
'-x,-y,-z'
'-x,y,-z'
'x,-y,z'
'x+1/2,y+1/2,z'
'-x+1/2,-y+1/2,-z'
'-x+1/2,y+1/2,-z'
'x+1/2,-y+1/2,z'
loop_
_atom_site_label
_atom_site_type_symbol
_atom_site_fract_x
_atom_site_fract_y
_atom_site_fract_z
Tb1 Tb 0.2416 0.0000 0.4993
Y1 Y 0.0000 0.0000 0.5000
Y2 Y 0.0000 0.2843 0.0000
Ho1 Ho 0.1089 0.2877 0.5002
Ho2 Ho 0.1333 0.0000 0.9998
Ho3 Ho 0.1664 0.5000 0.0006
```

Most intense lines, 2θ from 10° to 80°, sorted by position:
d = 5.082 Å, 17.45°, intensity 12; d = 3.549 Å, 25.09°, intensity 21; d = 3.134 Å, 28.48°, intensity 13; d = 3.014 Å, 29.64°, intensity 26; d = 2.896 Å, 30.88°, intensity 35; d = 2.789 Å, 32.09°, intensity 40; d = 2.667 Å, 33.60°, intensity 100; d = 2.541 Å, 35.32°, intensity 12; d = 2.193 Å, 41.16°, intensity 11; d = 1.586 Å, 58.18°, intensity 29



Diffraction record for Tb2Ho6Zn. The X-ray diffraction stick pattern is theoretical, not measured: it uses a cell relaxed with GGA-PBE and Cu Kα.

Cell and atoms:
```
data_Tb2Ho6Zn
_chemical_formula_sum 'Tb4 Ho12 Zn2'
_cell_length_a 9.8259
_cell_length_b 10.0993
_cell_length_c 5.3282
_cell_angle_alpha 90.00
_cell_angle_beta 90.00
_cell_angle_gamma 90.00
_symmetry_space_group_name_H-M 'P n n m'
_symmetry_Int_Tables_number 58
loop_
_symmetry_equiv_pos_as_xyz
'x,y,z'
'-x,-y,-z'
'-x,-y,z'
'x,y,-z'
'x+1/2,-y+1/2,-z+1/2'
'-x+1/2,y+1/2,z+1/2'
'-x+1/2,y+1/2,-z+1/2'
'x+1/2,-y+1/2,z+1/2'
loop_
_atom_site_label
_atom_site_type_symbol
_atom_site_fract_x
_atom_site_fract_y
_atom_site_fract_z
Tb1 Tb 0.1997 0.2351 0.0000
Ho1 Ho 0.0260 0.3142 0.5000
Ho2 Ho 0.1300 0.8891 0.0000
Ho3 Ho 0.1861 0.5610 0.0000
Zn1 Zn 0.0000 0.0000 0.5000
```

Most intense lines, 2θ from 10° to 80°, sorted by position:
d = 2.846 Å, 31.43°, intensity 44; d = 2.790 Å, 32.08°, intensity 100; d = 2.777 Å, 32.23°, intensity 36; d = 2.734 Å, 32.76°, intensity 77; d = 2.690 Å, 33.31°, intensity 23; d = 2.664 Å, 33.64°, intensity 60; d = 2.347 Å, 38.35°, intensity 20; d = 1.922 Å, 47.28°, intensity 25; d = 1.761 Å, 51.92°, intensity 20; d = 1.562 Å, 59.17°, intensity 22



Diffraction record for Tb4Ho3Zn. The X-ray diffraction stick pattern is theoretical, not measured: it uses a cell relaxed with GGA-PBE and Cu Kα.

Cell and atoms:
```
data_Tb4Ho3Zn
_chemical_formula_sum 'Tb4 Ho3 Zn1'
_cell_length_a 3.5545
_cell_length_b 3.5545
_cell_length_c 18.6136
_cell_angle_alpha 90.00
_cell_angle_beta 90.00
_cell_angle_gamma 90.00
_symmetry_space_group_name_H-M 'P 4/m m m'
_symmetry_Int_Tables_number 123
_symmetry_space_group_name_Hall '-P 4 2'
loop_
_atom_site_label
_atom_site_type_symbol
_atom_site_fract_x
_atom_site_fract_y
_atom_site_fract_z
Tb1 Tb 0.0000 0.0000 0.0962
Tb2 Tb 0.0000 0.0000 0.3656
Ho1 Ho 0.5000 0.5000 0.2327
Ho2 Ho 0.5000 0.5000 0.5000
Zn1 Zn 0.5000 0.5000 0.0000
```

Most intense lines, 2θ from 10° to 80°, sorted by position:
d = 3.084 Å, 28.95°, intensity 16; d = 2.825 Å, 31.68°, intensity 100; d = 2.659 Å, 33.71°, intensity 11; d = 2.513 Å, 35.72°, intensity 45; d = 2.327 Å, 38.70°, intensity 7; d = 1.827 Å, 49.93°, intensity 14; d = 1.777 Å, 51.41°, intensity 16; d = 1.707 Å, 53.68°, intensity 11; d = 1.528 Å, 60.61°, intensity 14; d = 1.504 Å, 61.66°, intensity 30



Diffraction record for Tb2HoZn5. The X-ray diffraction stick pattern is theoretical, not measured: it uses a cell relaxed with GGA-PBE and Cu Kα.

Cell and atoms:
```
data_Tb2HoZn5
_chemical_formula_sum 'Tb4 Ho2 Zn10'
_cell_length_a 4.8115
_cell_length_b 4.8115
_cell_length_c 14.1505
_cell_angle_alpha 90.00
_cell_angle_beta 90.00
_cell_angle_gamma 90.00
_symmetry_space_group_name_H-M 'I 4/m m m'
_symmetry_Int_Tables_number 139
_symmetry_space_group_name_Hall '-I 4 2'
loop_
_atom_site_label
_atom_site_type_symbol
_atom_site_fract_x
_atom_site_fract_y
_atom_site_fract_z
Tb1 Tb 0.0000 0.0000 0.2333
Ho1 Ho 0.0000 0.0000 0.5000
Zn1 Zn 0.0000 0.0000 0.0000
Zn2 Zn 0.0000 0.5000 0.1134
```

Most intense lines, 2θ from 10° to 80°, sorted by position:
d = 3.402 Å, 26.19°, intensity 13; d = 3.368 Å, 26.46°, intensity 13; d = 2.452 Å, 36.65°, intensity 100; d = 2.406 Å, 37.38°, intensity 52; d = 1.864 Å, 48.87°, intensity 6; d = 1.769 Å, 51.68°, intensity 7; d = 1.701 Å, 53.90°, intensity 18; d = 1.425 Å, 65.50°, intensity 13; d = 1.398 Å, 66.95°, intensity 33; d = 1.226 Å, 77.92°, intensity 8